The following is a theoretical powder diffraction line list of CoGePtO6. It was derived from DFT lattice parameters and positions (PBE+U), using a wavelength of 1.5418 Å.
No peak broadening, texture or thermal motion is included.

Most intense lines, 2θ = 10–80°, low angle first:
2θ 20.60, rel. 442, (0 0 2); 2θ 22.70, rel. 437, (1 0 1); 2θ 29.00, rel. 1000, (1 0 2); 2θ 35.36, rel. 601, (1 1 0); 2θ 41.27, rel. 476, (1 1 2); 2θ 55.96, rel. 555, (1 1 4)

Structural model:
```
data_CoGePtO6
_symmetry_space_group_name_H-M 'P 1'
_symmetry_Int_Tables_number 1
_symmetry_space_group_name_Hall 'P 1'
_cell_length_a 5.077
_cell_length_b 5.077
_cell_length_c 8.624
_cell_angle_alpha 90.00
_cell_angle_beta 90.00
_cell_angle_gamma 120.00
loop_
_atom_site_label
_atom_site_type_symbol
_atom_site_fract_x
_atom_site_fract_y
_atom_site_fract_z
Co1 Co 0.000 0.000 0.000
Co2 Co 0.000 0.000 0.500
Ge1 Ge 0.333 0.667 0.250
Ge2 Ge 0.667 0.333 0.750
Pt1 Pt 0.333 0.667 0.750
Pt2 Pt 0.667 0.333 0.250
O1 O 0.012 0.352 0.131
O2 O 0.012 0.660 0.369
O3 O 0.340 0.352 0.369
O4 O 0.340 0.988 0.131
O5 O 0.352 0.012 0.631
O6 O 0.352 0.340 0.869
O7 O 0.648 0.660 0.131
O8 O 0.648 0.988 0.369
O9 O 0.660 0.012 0.869
O10 O 0.660 0.648 0.631
O11 O 0.988 0.340 0.631
O12 O 0.988 0.648 0.869
```